NdZrAlCu: calculated powder diffraction line list (a wavelength of 1.5418 Å), based on a DFT-relaxed cell (PBE, Alexandria).
No peak broadening, texture or thermal motion is included.

Structural model:
Cell lengths 7.0150, 7.0150, 7.0150 Å; angles 90.00, 90.00, 90.00 degrees
Space group F-43m (No. 216)
One atom of each set of equivalent atoms:
Nd  0.0000  0.0000  0.0000 [4 per cell]
Zr  0.0000  0.0000  0.5000 [4 per cell]
Al  0.2500  0.2500  0.7500 [4 per cell]
Cu  0.2500  0.2500  0.2500 [4 per cell]

Most intense lines, 15 to 90 degrees two-theta, in order of rising 2θ:
| index | two_theta | Rel. int. |
| --- | --- | --- |
| 1 1 1 | 21.95 | 9 |
| 2 0 0 | 25.39 | 23 |
| 2 2 0 | 36.22 | 100 |
| 3 1 1 | 42.75 | 5 |
| 2 2 2 | 44.75 | 7 |
| 4 0 0 | 52.15 | 17 |
| 3 3 1 | 57.24 | 2 |
| 4 2 0 | 58.87 | 9 |
| 4 2 2 | 65.15 | 35 |
| 4 4 0 | 76.88 | 11 |
| 6 0 0 | 82.50 | 4 |
| 6 2 0 | 88.06 | 15 |